Record 1
Starting from a crystal structure in the Materials Project, relaxed with PBE, the XRD peak list of Ba4Sc2Cu2O9 was simulated for CuKα.
Kinematic intensities with the Lorentz-polarization factor, no thermal factor.

Cell and atoms:
```
data_Ba4Sc2Cu2O9
_chemical_formula_sum 'Ba16 Sc8 Cu8 O36'
_cell_length_a 8.314
_cell_length_b 8.449
_cell_length_c 16.047
_cell_angle_alpha 90.00
_cell_angle_beta 90.00
_cell_angle_gamma 90.00
_symmetry_space_group_name_H-M 'F m m m'
_symmetry_Int_Tables_number 69
_symmetry_space_group_name_Hall '-F 2 2'
loop_
_atom_site_label
_atom_site_fract_x
_atom_site_fract_y
_atom_site_fract_z
_atom_site_occupancy
Ba1 0.245 0.000 0.133 1
Sc1 0.000 0.250 0.250 1
Cu1 0.000 0.227 0.000 1
O1 0.000 0.000 0.000 1
O2 0.000 0.000 0.248 1
O3 0.000 0.237 0.388 1
O4 0.250 0.250 0.250 1
```

Peak list (8 most intense, 10° ≤ 2θ ≤ 90°, by intensity)
h k l  two_theta  I_rel
2 2 0  30.16  1000
2 0 4  30.98  845
0 2 4  30.73  770
2 2 4  37.74  394
2 4 4  53.78  331
4 2 4  54.24  306
2 2 8  55.31  298
0 4 0  42.81  266

Record 2
Starting from a crystal structure in the Materials Project, relaxed with PBE, the XRD peak list of BaCuSe2O6 was simulated for CuKα.
Kinematic intensities with the Lorentz-polarization factor, no thermal factor.

Cell and atoms:
```
data_BaCuSe2O6
_chemical_formula_sum 'Ba4 Cu4 Se8 O24'
_cell_length_a 8.370
_cell_length_b 5.255
_cell_length_c 16.015
_cell_angle_alpha 90.00
_cell_angle_beta 91.28
_cell_angle_gamma 90.00
_symmetry_space_group_name_H-M 'C 1 2/c 1'
_symmetry_Int_Tables_number 15
loop_
_symmetry_equiv_pos_as_xyz
'x,y,z'
'-x,-y,-z'
'-x,y,-z+1/2'
'x,-y,z+1/2'
'x+1/2,y+1/2,z'
'-x+1/2,-y+1/2,-z'
'-x+1/2,y+1/2,-z+1/2'
'x+1/2,-y+1/2,z+1/2'
loop_
_atom_site_label
_atom_site_fract_x
_atom_site_fract_y
_atom_site_fract_z
_atom_site_occupancy
Ba1 0.000 0.036 0.250 1
Cu1 0.000 0.000 0.000 1
Se1 0.136 0.499 0.091 1
O1 0.026 0.288 0.422 1
O2 0.035 0.210 0.598 1
O3 0.183 0.456 0.194 1
```

Peak list (8 most intense, 10° ≤ 2θ ≤ 90°, by intensity)
h k l  two_theta  I_rel
1 1 4  30.21  1000
1 1 -2  22.75  978
3 1 0  36.47  765
2 0 0  21.24  588
1 1 -4  29.84  416
0 2 0  34.12  354
2 0 -4  30.56  339
2 2 -4  46.46  316

Record 3
Starting from a crystal structure in the Materials Project, relaxed with PBE, the XRD peak list of BaCuSe2O6 was simulated for CuKα.
Kinematic intensities with the Lorentz-polarization factor, no thermal factor.

Cell and atoms:
```
data_BaCuSe2O6
_chemical_formula_sum 'Ba4 Cu4 Se8 O24'
_cell_length_a 5.415
_cell_length_b 13.434
_cell_length_c 9.028
_cell_angle_alpha 90.00
_cell_angle_beta 90.34
_cell_angle_gamma 90.00
_symmetry_space_group_name_H-M 'P 1 21/c 1'
_symmetry_Int_Tables_number 14
loop_
_symmetry_equiv_pos_as_xyz
'x,y,z'
'-x,-y,-z'
'-x,y+1/2,-z+1/2'
'x,-y+1/2,z+1/2'
loop_
_atom_site_label
_atom_site_fract_x
_atom_site_fract_y
_atom_site_fract_z
_atom_site_occupancy
Ba1 0.230 0.201 0.191 1
Cu1 0.226 0.633 0.600 1
Se1 0.264 0.638 0.965 1
Se2 0.312 0.009 0.791 1
O1 0.083 0.729 0.049 1
O2 0.207 0.594 0.391 1
O3 0.220 0.115 0.876 1
O4 0.279 0.696 0.791 1
O5 0.370 0.505 0.672 1
O6 0.444 0.160 0.472 1
```

Peak list (8 most intense, 10° ≤ 2θ ≤ 90°, by intensity)
h k l  two_theta  I_rel
1 3 -1  27.66  1000
2 0 0  33.08  432
1 1 2  26.62  306
0 1 3  30.44  291
1 1 -2  26.48  290
0 4 2  33.25  281
1 3 0  25.81  245
1 2 2  29.05  192

Record 4
Starting from a crystal structure in the Materials Project, relaxed with PBE, the XRD peak list of BaCuSeO was simulated for CuKα.
Kinematic intensities with the Lorentz-polarization factor, no thermal factor.

Cell and atoms:
```
data_BaCuSeO
_chemical_formula_sum 'Ba2 Cu2 Se2 O2'
_cell_length_a 4.310
_cell_length_b 4.310
_cell_length_c 9.782
_cell_angle_alpha 90.00
_cell_angle_beta 90.00
_cell_angle_gamma 90.00
_symmetry_space_group_name_H-M 'P 4/n m m'
_symmetry_Int_Tables_number 129
loop_
_symmetry_equiv_pos_as_xyz
'x,y,z'
'-x,-y,-z'
'-y+1/2,x,z'
'y+1/2,-x,-z'
'-x+1/2,-y+1/2,z'
'x+1/2,y+1/2,-z'
'y,-x+1/2,z'
'-y,x+1/2,-z'
'x+1/2,-y,-z'
'-x+1/2,y,z'
'-y,-x,-z'
'y,x,z'
'-x,y+1/2,-z'
'x,-y+1/2,z'
'y+1/2,x+1/2,-z'
'-y+1/2,-x+1/2,z'
loop_
_atom_site_label
_atom_site_fract_x
_atom_site_fract_y
_atom_site_fract_z
_atom_site_occupancy
Ba1 0.250 0.250 0.140 1
Cu1 0.250 0.750 0.500 1
Se1 0.250 0.250 0.630 1
O1 0.250 0.750 0.000 1
```

Peak list (8 most intense, 10° ≤ 2θ ≤ 90°, by intensity)
h k l  two_theta  I_rel
1 0 2  27.59  1000
1 1 4  47.68  406
2 1 2  50.93  359
2 0 0  41.93  321
2 2 0  60.77  189
1 1 2  34.68  170
3 1 4  80.72  166
1 1 0  29.31  151

Record 5
Starting from a crystal structure in the Materials Project, relaxed with PBE, the XRD peak list of BaCuSe2O6 was simulated for CuKα.
Kinematic intensities with the Lorentz-polarization factor, no thermal factor.

Cell and atoms:
```
data_BaCuSe2O6
_chemical_formula_sum 'Ba4 Cu4 Se8 O24'
_cell_length_a 13.576
_cell_length_b 5.388
_cell_length_c 9.063
_cell_angle_alpha 90.00
_cell_angle_beta 90.00
_cell_angle_gamma 90.00
_symmetry_space_group_name_H-M 'P m n 21'
_symmetry_Int_Tables_number 31
loop_
_symmetry_equiv_pos_as_xyz
'x,y,z'
'-x+1/2,-y,z+1/2'
'-x,y,z'
'x+1/2,-y,z+1/2'
loop_
_atom_site_label
_atom_site_fract_x
_atom_site_fract_y
_atom_site_fract_z
_atom_site_occupancy
Ba1 0.202 0.000 0.000 1
Cu1 0.131 0.457 0.295 1
Se1 0.000 0.527 0.980 1
Se2 0.000 0.917 0.410 1
Se3 0.143 0.504 0.668 1
O1 0.000 0.594 0.351 1
O2 0.000 0.842 0.970 1
O3 0.102 0.026 0.322 1
O4 0.104 0.455 0.083 1
O5 0.175 0.210 0.715 1
O6 0.188 0.530 0.488 1
O7 0.233 0.688 0.751 1
```

Peak list (8 most intense, 10° ≤ 2θ ≤ 90°, by intensity)
h k l  two_theta  I_rel
3 1 1  27.56  1000
0 1 2  25.69  505
0 2 0  33.26  380
2 1 2  28.91  337
1 0 3  30.31  305
4 0 2  32.97  286
7 1 3  59.14  218
4 1 0  31.15  214

Record 6
Starting from a crystal structure in the Materials Project, relaxed with PBE, the XRD peak list of BaCu2Si2O7 was simulated for CuKα.
Kinematic intensities with the Lorentz-polarization factor, no thermal factor.

Cell and atoms:
```
data_BaCu2Si2O7
_chemical_formula_sum 'Ba4 Cu8 Si8 O28'
_cell_length_a 6.943
_cell_length_b 13.191
_cell_length_c 7.053
_cell_angle_alpha 90.00
_cell_angle_beta 90.00
_cell_angle_gamma 90.00
_symmetry_space_group_name_H-M 'P n m a'
_symmetry_Int_Tables_number 62
loop_
_symmetry_equiv_pos_as_xyz
'x,y,z'
'-x,-y,-z'
'-x+1/2,-y,z+1/2'
'x+1/2,y,-z+1/2'
'x+1/2,-y+1/2,-z+1/2'
'-x+1/2,y+1/2,z+1/2'
'-x,y+1/2,-z'
'x,-y+1/2,z'
loop_
_atom_site_label
_atom_site_fract_x
_atom_site_fract_y
_atom_site_fract_z
_atom_site_occupancy
Ba1 0.014 0.250 0.040 1
Cu1 0.221 0.505 0.792 1
Si1 0.001 0.133 0.525 1
O1 0.070 0.115 0.743 1
O2 0.094 0.750 0.485 1
O3 0.171 0.134 0.364 1
O4 0.182 0.557 0.531 1
```

Peak list (8 most intense, 10° ≤ 2θ ≤ 90°, by intensity)
h k l  two_theta  I_rel
2 2 0  29.07  1000
0 2 2  28.70  757
1 4 1  32.63  623
1 2 1  22.46  562
2 0 2  36.32  442
2 4 2  45.85  254
0 4 0  27.04  208
2 8 2  68.37  190

Please write out number 2 again, unchanged.
Starting from a crystal structure in the Materials Project, relaxed with PBE, the XRD peak list of BaCuSe2O6 was simulated for CuKα.
Kinematic intensities with the Lorentz-polarization factor, no thermal factor.

Cell and atoms:
```
data_BaCuSe2O6
_chemical_formula_sum 'Ba4 Cu4 Se8 O24'
_cell_length_a 8.370
_cell_length_b 5.255
_cell_length_c 16.015
_cell_angle_alpha 90.00
_cell_angle_beta 91.28
_cell_angle_gamma 90.00
_symmetry_space_group_name_H-M 'C 1 2/c 1'
_symmetry_Int_Tables_number 15
loop_
_symmetry_equiv_pos_as_xyz
'x,y,z'
'-x,-y,-z'
'-x,y,-z+1/2'
'x,-y,z+1/2'
'x+1/2,y+1/2,z'
'-x+1/2,-y+1/2,-z'
'-x+1/2,y+1/2,-z+1/2'
'x+1/2,-y+1/2,z+1/2'
loop_
_atom_site_label
_atom_site_fract_x
_atom_site_fract_y
_atom_site_fract_z
_atom_site_occupancy
Ba1 0.000 0.036 0.250 1
Cu1 0.000 0.000 0.000 1
Se1 0.136 0.499 0.091 1
O1 0.026 0.288 0.422 1
O2 0.035 0.210 0.598 1
O3 0.183 0.456 0.194 1
```

Peak list (8 most intense, 10° ≤ 2θ ≤ 90°, by intensity)
h k l  two_theta  I_rel
1 1 4  30.21  1000
1 1 -2  22.75  978
3 1 0  36.47  765
2 0 0  21.24  588
1 1 -4  29.84  416
0 2 0  34.12  354
2 0 -4  30.56  339
2 2 -4  46.46  316